This entry pairs a crystal structure of Li3FeSb4O12 with its simulated X-ray diffraction stick pattern. Radiation: Cu Kα (weighted mean of Kα1 and Kα2). Structure: DFT lattice parameters and positions (PBE+U).

Largest 6 diffraction maxima, by angle, 10 to 80 degrees two-theta:
2θ (°)  I_rel
23.18  100.0
23.27  50.0
32.12  54.8
32.25  27.8
33.88  40.8
52.16  26.1

Atomic structure:
Cell lengths 5.2739, 5.5839, 7.6996 Å; angles 85.82, 89.79, 89.78 degrees
Sites, in units of the cell vectors:
Li 0.0000 0.0000 0.0000
Li 0.0043 0.0009 0.4945
Li 0.5011 0.5133 0.9989
Fe 0.5047 0.5237 0.4961
Sb 0.0029 0.4286 0.7185
Sb 0.4998 0.9431 0.2057
Sb 0.5049 0.9379 0.7160
Sb 0.9974 0.4334 0.2068
O 0.1372 0.4097 0.9609
O 0.1716 0.1075 0.2628
O 0.2068 0.7230 0.6303
O 0.3034 0.2315 0.6295
O 0.3200 0.6095 0.2625
O 0.3670 0.9093 0.9595
O 0.6274 0.9038 0.4560
O 0.6730 0.5988 0.7612
O 0.6941 0.2400 0.1292
O 0.7999 0.7335 0.1302
O 0.8347 0.0991 0.7640
O 0.8688 0.4069 0.4593